1.
Starting from a PBE-relaxed structure, the powder XRD pattern of CsCd4As3 was simulated for Cu Kα X-rays.
Kinematic intensities with the Lorentz-polarization factor, no thermal factor.

Top 10 peaks for 2θ = 15–90°, by angle:
| d (Å) | 2θ/deg | Rel. int. | index |
| --- | --- | --- | --- |
| 3.683 | 24.17 | 371 | 0 0 3 |
| 3.531 | 25.22 | 1000 | 1 0 2 |
| 3.115 | 28.65 | 745 | 1 1 1 |
| 2.799 | 31.97 | 387 | 1 1 2 |
| 2.436 | 36.91 | 906 | 1 1 3 |
| 2.296 | 39.24 | 922 | 2 0 0 |
| 2.104 | 42.99 | 612 | 1 1 4 |
| 1.925 | 47.22 | 357 | 2 1 2 |
| 1.624 | 56.70 | 305 | 2 2 0 |
| 1.436 | 64.91 | 286 | 2 0 6 |

Crystal structure
```
data_CsCd4As3
_cell_length_a 4.592
_cell_length_b 4.592
_cell_length_c 11.048
_cell_angle_alpha 90.00
_cell_angle_beta 90.00
_cell_angle_gamma 90.00
_space_group_name_H-M_alt 'P 4/m m m'
_space_group_IT_number 123
_space_group_name_Hall '-P 4 2'
loop_
_atom_site_label
_atom_site_type_symbol
_atom_site_fract_x
_atom_site_fract_y
_atom_site_fract_z
_atom_site_occupancy
Cs1 Cs 0.000 0.000 0.000 1
Cd1 Cd 0.000 0.500 0.338 1
As1 As 0.000 0.000 0.500 1
As2 As 0.500 0.500 0.202 1
```

2.
Starting from a PBE-relaxed structure, the powder XRD pattern of MgCd4Cu4As4H4O20 was simulated for Cu Kα X-rays.
Kinematic intensities with the Lorentz-polarization factor, no thermal factor.

Top 10 peaks for 2θ = 15–90°, by angle:
| d (Å) | 2θ/deg | Rel. int. | index |
| --- | --- | --- | --- |
| 4.218 | 21.06 | 245 | 1 1 1 |
| 3.298 | 27.04 | 1000 | 2 1 0 |
| 3.064 | 29.14 | 337 | 0 2 0 |
| 3.016 | 29.62 | 408 | 1 0 -3 |
| 2.859 | 31.28 | 260 | 1 0 3 |
| 2.754 | 32.51 | 363 | 1 2 -1 |
| 2.711 | 33.05 | 420 | 1 2 1 |
| 2.631 | 34.08 | 225 | 2 1 2 |
| 2.592 | 34.61 | 259 | 1 1 3 |
| 2.363 | 38.08 | 221 | 2 1 -3 |

Crystal structure
```
data_MgCd4Cu4As4H4O20
_cell_length_a 7.848
_cell_length_b 6.130
_cell_length_c 9.525
_cell_angle_alpha 90.00
_cell_angle_beta 94.39
_cell_angle_gamma 90.00
_space_group_name_H-M_alt 'P 1 m 1'
_space_group_IT_number 6
loop_
_space_group_symop_operation_xyz
'x,y,z'
'x,-y,z'
loop_
_atom_site_label
_atom_site_type_symbol
_atom_site_fract_x
_atom_site_fract_y
_atom_site_fract_z
_atom_site_occupancy
Mg1 Mg 0.000 0.000 0.000 1
Cd1 Cd 0.218 0.000 0.578 1
Cd2 Cd 0.406 0.500 0.231 1
Cd3 Cd 0.627 0.000 0.736 1
Cd4 Cd 0.852 0.500 0.152 1
Cu1 Cu 0.266 0.266 0.889 1
Cu2 Cu 0.775 0.256 0.458 1
As1 As 0.113 0.000 0.276 1
As2 As 0.398 0.500 0.558 1
As3 As 0.595 0.000 0.082 1
As4 As 0.867 0.500 0.793 1
H1 H 0.005 0.000 0.760 1
H2 H 0.027 0.500 0.410 1
H3 H 0.516 0.500 0.970 1
H4 H 0.536 0.000 0.431 1
O1 O 0.069 0.214 0.157 1
O2 O 0.080 0.500 0.860 1
O3 O 0.116 0.000 0.818 1
O4 O 0.237 0.500 0.423 1
O5 O 0.319 0.000 0.348 1
O6 O 0.388 0.272 0.667 1
O7 O 0.394 0.500 0.992 1
O8 O 0.412 0.000 0.960 1
O9 O 0.576 0.500 0.460 1
O10 O 0.616 0.232 0.184 1
O11 O 0.643 0.000 0.493 1
O12 O 0.741 0.500 0.933 1
O13 O 0.754 0.000 0.964 1
O14 O 0.832 0.266 0.694 1
O15 O 0.900 0.500 0.387 1
O16 O 0.987 0.000 0.420 1
```

3.
Starting from a PBE-relaxed structure, the powder XRD pattern of MgCd4Cu4As4H4O20 was simulated for Cu Kα X-rays.
Kinematic intensities with the Lorentz-polarization factor, no thermal factor.

Top 10 peaks for 2θ = 15–90°, by angle:
| d (Å) | 2θ/deg | Rel. int. | index |
| --- | --- | --- | --- |
| 4.276 | 20.77 | 371 | 1 1 1 |
| 3.324 | 26.82 | 1000 | 2 1 0 |
| 3.041 | 29.37 | 347 | 0 2 0 |
| 2.942 | 30.38 | 312 | 1 0 -3 |
| 2.903 | 30.81 | 510 | 1 0 3 |
| 2.738 | 32.70 | 296 | 2 1 -2 |
| 2.724 | 32.87 | 352 | 1 2 -1 |
| 2.714 | 33.01 | 470 | 1 2 1 |
| 2.648 | 33.85 | 482 | 1 1 -3 |
| 1.697 | 54.05 | 301 | 3 2 -3 |

Crystal structure
```
data_MgCd4Cu4As4H4O20
_cell_length_a 7.941
_cell_length_b 6.082
_cell_length_c 9.430
_cell_angle_alpha 90.00
_cell_angle_beta 91.14
_cell_angle_gamma 90.00
_space_group_name_H-M_alt 'P 1 m 1'
_space_group_IT_number 6
loop_
_space_group_symop_operation_xyz
'x,y,z'
'x,-y,z'
loop_
_atom_site_label
_atom_site_type_symbol
_atom_site_fract_x
_atom_site_fract_y
_atom_site_fract_z
_atom_site_occupancy
Mg1 Mg 0.000 0.000 0.000 1
Cd1 Cd 0.266 0.000 0.241 1
Cd2 Cd 0.509 0.500 0.565 1
Cd3 Cd 0.618 0.000 0.061 1
Cd4 Cd 0.967 0.500 0.677 1
Cu1 Cu 0.349 0.265 0.866 1
Cu2 Cu 0.859 0.244 0.360 1
As1 As 0.207 0.000 0.546 1
As2 As 0.463 0.500 0.237 1
As3 As 0.715 0.000 0.710 1
As4 As 0.977 0.500 0.012 1
H1 H 0.099 0.500 0.410 1
H2 H 0.165 0.000 0.813 1
H3 H 0.607 0.500 0.844 1
H4 H 0.616 0.000 0.348 1
O1 O 0.056 0.000 0.400 1
O2 O 0.152 0.500 0.904 1
O3 O 0.188 0.232 0.648 1
O4 O 0.220 0.000 0.909 1
O5 O 0.327 0.500 0.378 1
O6 O 0.396 0.000 0.458 1
O7 O 0.423 0.266 0.131 1
O8 O 0.490 0.500 0.804 1
O9 O 0.542 0.000 0.830 1
O10 O 0.666 0.500 0.310 1
O11 O 0.716 0.000 0.288 1
O12 O 0.723 0.235 0.607 1
O13 O 0.811 0.500 0.892 1
O14 O 0.885 0.000 0.823 1
O15 O 0.976 0.264 0.117 1
O16 O 0.977 0.500 0.431 1
```

4.
Starting from a PBE-relaxed structure, the powder XRD pattern of MgCd4Cu4As4H4O20 was simulated for Cu Kα X-rays.
Kinematic intensities with the Lorentz-polarization factor, no thermal factor.

Top 10 peaks for 2θ = 15–90°, by angle:
| d (Å) | 2θ/deg | Rel. int. | index |
| --- | --- | --- | --- |
| 4.341 | 20.46 | 298 | 1 1 -1 |
| 3.970 | 22.39 | 287 | 0 2 0 |
| 3.458 | 25.76 | 719 | 1 2 0 |
| 3.247 | 27.47 | 1000 | 1 -2 0 |
| 3.113 | 28.67 | 303 | 2 0 0 |
| 2.961 | 30.19 | 751 | 0 1 3 |
| 2.878 | 31.08 | 307 | 1 2 2 |
| 2.795 | 32.02 | 971 | 0 1 -3 |
| 2.728 | 32.83 | 430 | -2 1 1 |
| 2.588 | 34.66 | 268 | 2 0 2 |

Crystal structure
```
data_MgCd4Cu4As4H4O20
_cell_length_a 6.242
_cell_length_b 7.989
_cell_length_c 9.281
_cell_angle_alpha 85.05
_cell_angle_beta 89.38
_cell_angle_gamma 85.99
_space_group_name_H-M_alt 'P 1'
_space_group_IT_number 1
loop_
_space_group_symop_operation_xyz
'x,y,z'
loop_
_atom_site_label
_atom_site_type_symbol
_atom_site_fract_x
_atom_site_fract_y
_atom_site_fract_z
_atom_site_occupancy
Mg1 Mg 0.000 0.000 0.000 1
Cd1 Cd 0.221 0.666 0.298 1
Cd2 Cd 0.389 0.193 0.172 1
Cd3 Cd 0.812 0.396 0.779 1
Cd4 Cd 0.855 0.828 0.640 1
Cu1 Cu 0.096 0.277 0.482 1
Cu2 Cu 0.206 0.605 0.927 1
Cu3 Cu 0.589 0.797 0.984 1
Cu4 Cu 0.591 0.268 0.480 1
As1 As 0.335 0.195 0.828 1
As2 As 0.365 0.649 0.607 1
As3 As 0.820 0.917 0.314 1
As4 As 0.871 0.401 0.118 1
H1 H 0.353 0.031 0.452 1
H2 H 0.479 0.548 0.115 1
H3 H 0.709 0.029 0.820 1
H4 H 0.816 0.508 0.474 1
O1 O 0.051 0.931 0.207 1
O2 O 0.088 0.390 0.235 1
O3 O 0.116 0.226 0.715 1
O4 O 0.138 0.647 0.721 1
O5 O 0.308 0.009 0.938 1
O6 O 0.334 0.824 0.487 1
O7 O 0.348 0.154 0.418 1
O8 O 0.351 0.346 0.950 1
O9 O 0.361 0.483 0.497 1
O10 O 0.388 0.654 0.084 1
O11 O 0.575 0.186 0.733 1
O12 O 0.592 0.642 0.713 1
O13 O 0.611 0.949 0.193 1
O14 O 0.632 0.395 0.212 1
O15 O 0.794 0.923 0.862 1
O16 O 0.810 0.046 0.457 1
O17 O 0.830 0.395 0.527 1
O18 O 0.865 0.718 0.404 1
O19 O 0.872 0.579 0.995 1
O20 O 0.885 0.238 0.005 1
```

5.
Starting from a PBE-relaxed structure, the powder XRD pattern of MgCd4Cu4As4H4O20 was simulated for Cu Kα X-rays.
Kinematic intensities with the Lorentz-polarization factor, no thermal factor.

Top 10 peaks for 2θ = 15–90°, by angle:
| d (Å) | 2θ/deg | Rel. int. | index |
| --- | --- | --- | --- |
| 3.860 | 23.04 | 247 | 2 0 0 |
| 3.249 | 27.45 | 1000 | 2 1 0 |
| 3.053 | 29.25 | 487 | 1 0 -3 |
| 3.008 | 29.70 | 278 | 0 2 0 |
| 2.995 | 29.83 | 271 | 1 0 3 |
| 2.884 | 31.01 | 208 | 0 1 3 |
| 2.703 | 33.14 | 300 | 1 2 -1 |
| 2.688 | 33.34 | 488 | 1 2 1 |
| 1.780 | 51.32 | 215 | 4 0 2 |
| 1.504 | 61.66 | 207 | 0 4 0 |

Crystal structure
```
data_MgCd4Cu4As4H4O20
_cell_length_a 7.722
_cell_length_b 6.017
_cell_length_c 9.862
_cell_angle_alpha 90.00
_cell_angle_beta 91.51
_cell_angle_gamma 90.00
_space_group_name_H-M_alt 'P 1 m 1'
_space_group_IT_number 6
loop_
_space_group_symop_operation_xyz
'x,y,z'
'x,-y,z'
loop_
_atom_site_label
_atom_site_type_symbol
_atom_site_fract_x
_atom_site_fract_y
_atom_site_fract_z
_atom_site_occupancy
Mg1 Mg 0.000 0.000 0.000 1
Cd1 Cd 0.090 0.000 0.441 1
Cd2 Cd 0.297 0.500 0.836 1
Cd3 Cd 0.578 0.000 0.309 1
Cd4 Cd 0.746 0.500 0.935 1
Cu1 Cu 0.198 0.278 0.170 1
Cu2 Cu 0.705 0.255 0.609 1
As1 As 0.090 0.000 0.741 1
As2 As 0.324 0.500 0.484 1
As3 As 0.550 0.000 0.970 1
As4 As 0.808 0.500 0.253 1
H1 H 0.438 0.500 0.102 1
H2 H 0.461 0.000 0.575 1
H3 H 0.942 0.500 0.703 1
H4 H 0.943 0.000 0.224 1
O1 O 0.066 0.000 0.198 1
O2 O 0.076 0.217 0.858 1
O3 O 0.186 0.500 0.618 1
O4 O 0.263 0.000 0.641 1
O5 O 0.291 0.268 0.379 1
O6 O 0.314 0.500 0.070 1
O7 O 0.418 0.000 0.112 1
O8 O 0.529 0.237 0.872 1
O9 O 0.537 0.500 0.547 1
O10 O 0.580 0.000 0.538 1
O11 O 0.629 0.500 0.146 1
O12 O 0.759 0.000 0.037 1
O13 O 0.815 0.500 0.711 1
O14 O 0.816 0.257 0.347 1
O15 O 0.909 0.000 0.628 1
O16 O 0.970 0.500 0.130 1
```

What did the fourth record say?
Starting from a PBE-relaxed structure, the powder XRD pattern of MgCd4Cu4As4H4O20 was simulated for Cu Kα X-rays.
Kinematic intensities with the Lorentz-polarization factor, no thermal factor.

Top 10 peaks for 2θ = 15–90°, by angle:
| d (Å) | 2θ/deg | Rel. int. | index |
| --- | --- | --- | --- |
| 4.341 | 20.46 | 298 | 1 1 -1 |
| 3.970 | 22.39 | 287 | 0 2 0 |
| 3.458 | 25.76 | 719 | 1 2 0 |
| 3.247 | 27.47 | 1000 | 1 -2 0 |
| 3.113 | 28.67 | 303 | 2 0 0 |
| 2.961 | 30.19 | 751 | 0 1 3 |
| 2.878 | 31.08 | 307 | 1 2 2 |
| 2.795 | 32.02 | 971 | 0 1 -3 |
| 2.728 | 32.83 | 430 | -2 1 1 |
| 2.588 | 34.66 | 268 | 2 0 2 |

Crystal structure
```
data_MgCd4Cu4As4H4O20
_cell_length_a 6.242
_cell_length_b 7.989
_cell_length_c 9.281
_cell_angle_alpha 85.05
_cell_angle_beta 89.38
_cell_angle_gamma 85.99
_space_group_name_H-M_alt 'P 1'
_space_group_IT_number 1
loop_
_space_group_symop_operation_xyz
'x,y,z'
loop_
_atom_site_label
_atom_site_type_symbol
_atom_site_fract_x
_atom_site_fract_y
_atom_site_fract_z
_atom_site_occupancy
Mg1 Mg 0.000 0.000 0.000 1
Cd1 Cd 0.221 0.666 0.298 1
Cd2 Cd 0.389 0.193 0.172 1
Cd3 Cd 0.812 0.396 0.779 1
Cd4 Cd 0.855 0.828 0.640 1
Cu1 Cu 0.096 0.277 0.482 1
Cu2 Cu 0.206 0.605 0.927 1
Cu3 Cu 0.589 0.797 0.984 1
Cu4 Cu 0.591 0.268 0.480 1
As1 As 0.335 0.195 0.828 1
As2 As 0.365 0.649 0.607 1
As3 As 0.820 0.917 0.314 1
As4 As 0.871 0.401 0.118 1
H1 H 0.353 0.031 0.452 1
H2 H 0.479 0.548 0.115 1
H3 H 0.709 0.029 0.820 1
H4 H 0.816 0.508 0.474 1
O1 O 0.051 0.931 0.207 1
O2 O 0.088 0.390 0.235 1
O3 O 0.116 0.226 0.715 1
O4 O 0.138 0.647 0.721 1
O5 O 0.308 0.009 0.938 1
O6 O 0.334 0.824 0.487 1
O7 O 0.348 0.154 0.418 1
O8 O 0.351 0.346 0.950 1
O9 O 0.361 0.483 0.497 1
O10 O 0.388 0.654 0.084 1
O11 O 0.575 0.186 0.733 1
O12 O 0.592 0.642 0.713 1
O13 O 0.611 0.949 0.193 1
O14 O 0.632 0.395 0.212 1
O15 O 0.794 0.923 0.862 1
O16 O 0.810 0.046 0.457 1
O17 O 0.830 0.395 0.527 1
O18 O 0.865 0.718 0.404 1
O19 O 0.872 0.579 0.995 1
O20 O 0.885 0.238 0.005 1
```